For Hf2TiCuNi, a cell relaxed with GGA-PBE gives the computed powder diffraction line list in this record (Cu Kα (weighted mean of Kα1 and Kα2)).
Neutral-atom scattering factors, no anomalous dispersion.

The 6 most intense peaks (5° ≤ 2θ ≤ 70°), by angle:
20.0 deg, d 4.442, I 48.2, (0 0 1); 33.3 deg, d 2.694, I 100.0, (1 1 1); 37.5 deg, d 2.396, I 63.1, (2 0 0); 42.9 deg, d 2.109, I 27.9, (2 0 1); 56.5 deg, d 1.629, I 37.8, (2 0 2); 65.0 deg, d 1.434, I 28.6, (3 1 1)

Cell and atoms:
```
data_Hf2TiCuNi
_symmetry_space_group_name_H-M 'P 4/m m m'
_symmetry_Int_Tables_number 123
_symmetry_space_group_name_Hall '-P 4 2'
_cell_length_a 4.792
_cell_length_b 4.792
_cell_length_c 4.442
_cell_angle_alpha 90.00
_cell_angle_beta 90.00
_cell_angle_gamma 90.00
loop_
_atom_site_label
_atom_site_fract_x
_atom_site_fract_y
_atom_site_fract_z
Hf1 0.000 0.500 0.000
Ti1 0.000 0.000 0.500
Cu1 0.500 0.500 0.500
Ni1 0.000 0.000 0.000
```

=====

For Nd4SmCd3, a cell relaxed with GGA-PBE gives the computed powder diffraction line list in this record (Cu Kα (weighted mean of Kα1 and Kα2)).
Neutral-atom scattering factors, no anomalous dispersion.

The 6 most intense peaks (5° ≤ 2θ ≤ 70°), by angle:
32.1 deg, d 2.787, I 96.0, (0 1 8); 32.6 deg, d 2.746, I 100.0, (1 1 0); 46.4 deg, d 1.956, I 34.2, (2 0 8); 57.0 deg, d 1.617, I 14.3, (1 0 16); 57.9 deg, d 1.593, I 35.1, (1 2 8); 58.2 deg, d 1.586, I 18.7, (3 0 0)

Cell and atoms:
```
data_Nd4SmCd3
_symmetry_space_group_name_H-M 'R -3 m'
_symmetry_Int_Tables_number 166
_symmetry_space_group_name_Hall '-R 3 2"'
_cell_length_a 5.4926
_cell_length_b 5.4926
_cell_length_c 27.5093
_cell_angle_alpha 90.00
_cell_angle_beta 90.00
_cell_angle_gamma 120.00
loop_
_atom_site_label
_atom_site_fract_x
_atom_site_fract_y
_atom_site_fract_z
Nd1 0.0000 0.0000 0.1175
Nd2 0.0000 0.0000 0.3706
Sm1 0.0000 0.0000 0.5000
Cd1 0.0000 0.0000 0.0000
Cd2 0.0000 0.0000 0.2427
```

=====

For LaCu2Pt6, a cell relaxed with GGA-PBE gives the computed powder diffraction line list in this record (Cu Kα (weighted mean of Kα1 and Kα2)).
Neutral-atom scattering factors, no anomalous dispersion.

The 6 most intense peaks (5° ≤ 2θ ≤ 70°), by angle:
22.3 deg, d 3.993, I 19.0, (2 2 0); 26.2 deg, d 3.405, I 11.6, (3 1 1); 31.7 deg, d 2.823, I 86.6, (4 0 0); 45.4 deg, d 1.996, I 100.0, (4 4 0); 56.5 deg, d 1.630, I 23.2, (4 4 4); 66.2 deg, d 1.412, I 16.3, (8 0 0)

Cell and atoms:
Cell: 11.293 11.293 11.293 Å, 90.00 90.00 90.00°
Space group Fd-3m (No. 227, origin choice 2)
Unique sites:
La  0.125  0.125  0.125
Cu  0.000  0.000  0.500
Pt  0.123  0.375  0.375

=====

For Tb12Cd6Co, a cell relaxed with GGA-PBE gives the computed powder diffraction line list in this record (Cu Kα (weighted mean of Kα1 and Kα2)).
Neutral-atom scattering factors, no anomalous dispersion.

The 6 most intense peaks (5° ≤ 2θ ≤ 70°), by angle:
28.6 deg, d 3.121, I 61.1, (1 0 4); 31.5 deg, d 2.842, I 100.0, (1 3 1); 33.7 deg, d 2.660, I 43.9, (3 1 2); 35.6 deg, d 2.523, I 24.5, (3 -1 4); 36.1 deg, d 2.488, I 84.2, (2 2 3); 41.4 deg, d 2.182, I 25.1, (0 0 6)

Cell and atoms:
```
data_Tb12Cd6Co
_symmetry_space_group_name_H-M 'R -3'
_symmetry_Int_Tables_number 148
_symmetry_space_group_name_Hall '-R 3'
_cell_length_a 12.1219
_cell_length_b 12.1219
_cell_length_c 13.0749
_cell_angle_alpha 90.00
_cell_angle_beta 90.00
_cell_angle_gamma 120.00
loop_
_atom_site_label
_atom_site_fract_x
_atom_site_fract_y
_atom_site_fract_z
Tb1 0.0355 0.1841 0.3749
Tb2 0.0375 0.8509 0.8892
Cd1 0.0027 0.6045 0.7571
Co1 0.0000 0.0000 0.5000
```

=====

For AcDyCuAg, a cell relaxed with GGA-PBE gives the computed powder diffraction line list in this record (Cu Kα (weighted mean of Kα1 and Kα2)).
Neutral-atom scattering factors, no anomalous dispersion.

The 6 most intense peaks (5° ≤ 2θ ≤ 70°), by angle:
23.8 deg, d 3.744, I 14.8, (2 0 0); 33.9 deg, d 2.647, I 100.0, (2 2 0); 41.8 deg, d 2.161, I 4.8, (2 2 2); 48.6 deg, d 1.872, I 18.0, (4 0 0); 54.8 deg, d 1.674, I 6.9, (4 2 0); 60.6 deg, d 1.528, I 37.0, (4 2 2)

Cell and atoms:
```
data_AcDyCuAg
_symmetry_space_group_name_H-M 'F -4 3 m'
_symmetry_Int_Tables_number 216
_symmetry_space_group_name_Hall 'F -4 2 3'
_cell_length_a 7.487
_cell_length_b 7.487
_cell_length_c 7.487
_cell_angle_alpha 90.00
_cell_angle_beta 90.00
_cell_angle_gamma 90.00
loop_
_atom_site_label
_atom_site_fract_x
_atom_site_fract_y
_atom_site_fract_z
Ac1 0.000 0.000 0.000
Dy1 0.000 0.000 0.500
Cu1 0.250 0.250 0.250
Ag1 0.250 0.250 0.750
```

=====

For Ac2Al9Rh3, a cell relaxed with GGA-PBE gives the computed powder diffraction line list in this record (Cu Kα (weighted mean of Kα1 and Kα2)).
Neutral-atom scattering factors, no anomalous dispersion.

The 6 most intense peaks (5° ≤ 2θ ≤ 70°), by angle:
29.0 deg, d 3.076, I 63.4, (3 1 -3); 29.2 deg, d 3.057, I 61.9, (3 1 1); 29.3 deg, d 3.046, I 57.9, (0 2 2); 35.8 deg, d 2.509, I 93.5, (0 2 3); 36.4 deg, d 2.470, I 58.3, (0 0 4); 40.2 deg, d 2.241, I 100.0, (3 3 -1)

Cell and atoms:
```
data_Ac2Al9Rh3
_symmetry_space_group_name_H-M 'C 1 2/c 1'
_symmetry_Int_Tables_number 15
_cell_length_a 13.592
_cell_length_b 7.737
_cell_length_c 10.899
_cell_angle_alpha 90.00
_cell_angle_beta 114.99
_cell_angle_gamma 90.00
loop_
_symmetry_equiv_pos_as_xyz
'x,y,z'
'-x,-y,-z'
'-x,y,-z+1/2'
'x,-y,z+1/2'
'x+1/2,y+1/2,z'
'-x+1/2,-y+1/2,-z'
'-x+1/2,y+1/2,-z+1/2'
'x+1/2,-y+1/2,z+1/2'
loop_
_atom_site_label
_atom_site_fract_x
_atom_site_fract_y
_atom_site_fract_z
Ac1 0.169 0.083 0.249
Al1 0.000 0.376 0.250
Al2 0.060 0.090 0.927
Al3 0.095 0.417 0.040
Al4 0.099 0.321 0.747
Al5 0.222 0.420 0.432
Rh1 0.084 0.246 0.501
Rh2 0.250 0.250 0.000
```